For Ta3Zn2Bi3O14, DFT lattice parameters and positions (PBE) gives the theoretical X-ray diffraction stick pattern in this record (λ = 1.5418 Å (Cu Kα)).

Main lines, in order of rising 2θ (2θ = 5–70°):
d_spacing	2theta	Rel. int.
5.257	16.87	13
3.783	23.52	6
3.654	24.36	5
3.071	29.08	100
2.935	30.45	31
2.628	34.11	49
1.892	48.10	32
1.827	49.91	27
1.610	57.20	16
1.590	58.01	29
1.551	59.60	14
1.535	60.28	12

```
data_Ta3Zn2Bi3O14
_chemical_formula_sum 'Ta9 Zn6 Bi9 O42'
_cell_length_a 7.5662
_cell_length_b 7.5662
_cell_length_c 17.6111
_cell_angle_alpha 90.00
_cell_angle_beta 90.00
_cell_angle_gamma 120.00
_symmetry_space_group_name_H-M 'R -3 m'
_symmetry_Int_Tables_number 166
_symmetry_space_group_name_Hall '-R 3 2"'
loop_
_atom_site_label
_atom_site_fract_x
_atom_site_fract_y
_atom_site_fract_z
Ta1 0.0000 0.5000 0.0000
Zn1 0.0000 0.0000 0.0000
Zn2 0.0000 0.0000 0.5000
Bi1 0.0000 0.5000 0.5000
O1 0.0000 0.0000 0.1072
O2 0.0350 0.5175 0.1122
O3 0.0798 0.5399 0.3493
```

***

For Hg2Pd5Au2, DFT lattice parameters and positions (PBE) gives the theoretical X-ray diffraction stick pattern in this record (λ = 1.5418 Å (Cu Kα)).

Main lines, in order of rising 2θ (2θ = 5–70°):
d_spacing	2theta	Rel. int.
4.745	18.70	9
2.702	33.15	100
2.402	37.44	9
2.372	37.93	53
2.179	41.43	71
2.143	42.16	41
2.104	42.98	50
1.619	56.88	11
1.574	58.64	20
1.460	63.75	9
1.406	66.48	10
1.351	69.58	10

```
data_Hg2Pd5Au2
_chemical_formula_sum 'Hg8 Pd20 Au8'
_cell_length_a 9.4892
_cell_length_b 13.7757
_cell_length_c 4.9067
_cell_angle_alpha 90.00
_cell_angle_beta 90.00
_cell_angle_gamma 90.00
_symmetry_space_group_name_H-M 'I m m a'
_symmetry_Int_Tables_number 74
_symmetry_space_group_name_Hall '-I 2b 2'
loop_
_atom_site_label
_atom_site_fract_x
_atom_site_fract_y
_atom_site_fract_z
Hg1 0.0000 0.1291 0.0410
Pd1 0.2500 0.0496 0.2500
Pd2 0.2500 0.1493 0.7500
Pd3 0.2500 0.2500 0.2500
Au1 0.0000 0.0000 0.5000
Au2 0.0000 0.2500 0.5552
```